Calculated X-ray powder pattern of NaNpCuO6 for Cu Kα, from a PBE-relaxed structure.
No peak broadening, texture or thermal motion is included.

Peak list (10 most intense, 2θ from 10° to 80°, low angle first)
- 16.97 deg, rel. 100.0
- 19.59 deg, rel. 43.9
- 21.38 deg, rel. 71.0
- 26.03 deg, rel. 75.6
- 32.42 deg, rel. 26.7
- 34.29 deg, rel. 56.0
- 38.49 deg, rel. 65.3
- 49.30 deg, rel. 56.0
- 56.57 deg, rel. 25.1
- 64.22 deg, rel. 35.0

Structural model:
a b c (Å): 5.2317 5.2317 10.4501
angles (deg): 90.00 90.00 120.00
Sites, in units of the cell vectors:
Na1 0.0000 0.0000 0.0000
Na2 0.0000 0.0000 0.5000
Np1 0.3333 0.6667 0.2500
Np2 0.6667 0.3333 0.7500
Cu1 0.3333 0.6667 0.7500
Cu2 0.6667 0.3333 0.2500
O1 0.0051 0.3680 0.6457
O2 0.0051 0.6371 0.8543
O3 0.3629 0.3680 0.8543
O4 0.3629 0.9949 0.6457
O5 0.3680 0.0051 0.1457
O6 0.3680 0.3629 0.3543
O7 0.6320 0.6371 0.6457
O8 0.6320 0.9949 0.8543
O9 0.6371 0.0051 0.3543
O10 0.6371 0.6320 0.1457
O11 0.9949 0.3629 0.1457
O12 0.9949 0.6320 0.3543

---

Calculated X-ray powder pattern of Na2NpCuO4 for Cu Kα, from a PBE-relaxed structure.
No peak broadening, texture or thermal motion is included.

Peak list (10 most intense, 2θ from 10° to 80°, low angle first)
- 15.32 deg, rel. 100.0
- 15.73 deg, rel. 46.9
- 21.74 deg, rel. 16.3
- 29.35 deg, rel. 42.6
- 30.93 deg, rel. 26.1
- 31.76 deg, rel. 23.1
- 33.08 deg, rel. 37.8
- 33.47 deg, rel. 71.2
- 44.32 deg, rel. 16.3
- 57.18 deg, rel. 18.4

Structural model:
a b c (Å): 5.6369 3.6149 5.7839
angles (deg): 90.00 91.45 90.00
Sites, in units of the cell vectors:
Na1 0.0000 0.0000 0.0000
Na2 0.5000 0.5000 0.0000
Np1 0.0000 0.5000 0.5000
Cu1 0.5000 0.0000 0.5000
O1 0.1719 0.5000 0.2121
O2 0.2168 0.0000 0.6523
O3 0.7832 0.0000 0.3477
O4 0.8281 0.5000 0.7879

---

Calculated X-ray powder pattern of Na12Cu7O14 for Cu Kα, from a PBE-relaxed structure.
No peak broadening, texture or thermal motion is included.

Peak list (10 most intense, 2θ from 10° to 80°, low angle first)
- 16.74 deg, rel. 28.8
- 22.73 deg, rel. 100.0
- 33.12 deg, rel. 43.8
- 33.48 deg, rel. 14.6
- 35.45 deg, rel. 12.8
- 39.62 deg, rel. 20.4
- 42.97 deg, rel. 28.5
- 45.01 deg, rel. 29.2
- 50.45 deg, rel. 15.0
- 55.10 deg, rel. 16.6

Structural model:
a b c (Å): 10.8212 10.8212 5.7015
angles (deg): 98.30 98.30 134.21
Sites, in units of the cell vectors:
Na1 0.0000 0.0000 0.0000
Na2 0.1077 0.5696 0.2926
Na3 0.1926 0.8373 0.0267
Na4 0.2499 0.4014 0.2906
Na5 0.4014 0.2499 0.2906
Na6 0.4020 0.7076 0.0534
Na7 0.5626 0.5626 0.0488
Na8 0.5696 0.1077 0.2926
Na9 0.7076 0.4020 0.0534
Na10 0.7994 0.9688 0.3360
Na11 0.8373 0.1926 0.0267
Na12 0.9688 0.7994 0.3360
Cu1 0.1326 0.2752 0.7025
Cu2 0.2752 0.1326 0.7025
Cu3 0.4058 0.9780 0.6765
Cu4 0.5410 0.8271 0.6493
Cu5 0.6818 0.6818 0.6370
Cu6 0.8271 0.5410 0.6493
Cu7 0.9780 0.4058 0.6765
O1 0.0070 0.2902 0.4449
O2 0.1080 0.4027 0.9361
O3 0.1268 0.1268 0.4473
O4 0.2618 0.2618 0.9498
O5 0.2902 0.0070 0.4449
O6 0.4027 0.1080 0.9361
O7 0.4129 0.8505 0.4199
O8 0.5225 0.9479 0.9032
O9 0.5524 0.7002 0.3962
O10 0.6780 0.8206 0.8946
O11 0.7002 0.5524 0.3962
O12 0.8206 0.6780 0.8946
O13 0.8505 0.4129 0.4199
O14 0.9479 0.5225 0.9032